Simulated X-ray powder pattern of La2UTe5 for a wavelength of 1.5418 Å, from a crystal structure in Alexandria, relaxed with GGA-PBE.
Kinematic intensities with the Lorentz-polarization factor, no thermal factor.

Top 6 peaks for 5° ≤ 2θ ≤ 70°, by intensity:
2theta, Rel. int.
34.91, 100
40.46, 85
28.43, 56
28.14, 53
36.04, 52
30.20, 46

Atomic structure:
Unit cell a=10.0140 b=10.0140 c=8.9630 alpha=90.70 beta=90.70 gamma=36.50
Atoms (fractional coordinates):
La: 0.0882 0.0882 0.2381
La: 0.2430 0.2538 0.7688
La: 0.7462 0.7570 0.2312
La: 0.9118 0.9118 0.7619
U: 0.3907 0.4451 0.2366
U: 0.5549 0.6093 0.7634
Te: 0.0623 0.1030 0.8602
Te: 0.0775 0.5596 0.4971
Te: 0.2402 0.7598 0.5000
Te: 0.2500 0.2600 0.1389
Te: 0.4146 0.4231 0.8717
Te: 0.4404 0.9225 0.5029
Te: 0.5769 0.5854 0.1283
Te: 0.7345 0.2655 0.5000
Te: 0.7400 0.7500 0.8611
Te: 0.8970 0.9377 0.1398